(1)
Diffraction record for Ba3CO5. The powder X-ray diffraction pattern is theoretical, not measured: it uses a cell relaxed with PBE and λ = 1.5418 Å (Cu Kα).

Lattice parameters (Å, degrees): 7.449 7.449 7.449 120.82 120.82 88.59
Fractional coordinates of all 18 atoms:
Ba: 0.181 0.681 0.861
Ba: 0.250 0.250 0.000
Ba: 0.319 0.181 0.500
Ba: 0.681 0.819 0.500
Ba: 0.750 0.750 0.000
Ba: 0.819 0.319 0.139
C: 0.250 0.750 0.500
C: 0.750 0.250 0.500
O: 0.000 0.000 0.000
O: 0.060 0.783 0.500
O: 0.217 0.717 0.277
O: 0.283 0.560 0.500
O: 0.440 0.940 0.723
O: 0.500 0.500 0.000
O: 0.560 0.060 0.277
O: 0.717 0.440 0.500
O: 0.783 0.283 0.723
O: 0.940 0.217 0.500

The 10 most intense peaks (5° ≤ 2θ ≤ 70°), most intense first:
d [Å]	Position (°2θ)	Rel. int.
3.028	29.5	100
3.144	28.4	63
2.414	37.2	59
2.326	38.7	38
2.666	33.6	31
3.723	23.9	29
2.601	34.5	26
1.760	52.0	26
1.753	52.2	24
1.649	55.7	22



(2)
Diffraction record for BaCO3. The powder X-ray diffraction pattern is theoretical, not measured: it uses a cell relaxed with PBE and λ = 1.5418 Å (Cu Kα).

Lattice parameters (Å, degrees): 5.021 5.021 5.021 130.74 86.68 113.91
Fractional coordinates of all 5 atoms:
Ba: 0.000 0.000 0.000
C: 0.440 0.940 0.500
O: 0.162 0.815 0.348
O: 0.467 0.815 0.652
O: 0.676 0.176 0.500

The 10 most intense peaks (5° ≤ 2θ ≤ 70°), most intense first:
d [Å]	Position (°2θ)	Rel. int.
3.325	26.8	100
4.381	20.3	77
2.187	41.3	70
2.459	36.5	68
3.652	24.4	52
3.631	24.5	29
2.225	40.6	21
1.520	60.9	20
2.104	43.0	19
2.093	43.2	17



(3)
Diffraction record for Ba3SrC8O16. The powder X-ray diffraction pattern is theoretical, not measured: it uses a cell relaxed with PBE and λ = 1.5418 Å (Cu Kα).

Lattice parameters (Å, degrees): 6.286 7.093 10.751 108.87 91.28 107.53
Fractional coordinates of all 28 atoms:
Ba: 0.000 0.000 0.000
Ba: 0.178 0.493 0.677
Ba: 0.680 0.505 0.182
Sr: 0.505 0.998 0.506
C: 0.209 0.241 0.343
C: 0.285 0.760 0.160
C: 0.405 0.757 0.032
C: 0.463 0.236 0.834
C: 0.717 0.250 0.837
C: 0.774 0.744 0.647
C: 0.911 0.766 0.528
C: 0.954 0.235 0.341
O: 0.087 0.768 0.154
O: 0.106 0.749 0.532
O: 0.297 0.246 0.239
O: 0.298 0.774 0.937
O: 0.305 0.243 0.449
O: 0.359 0.205 0.723
O: 0.381 0.258 0.943
O: 0.397 0.754 0.257
O: 0.577 0.757 0.638
O: 0.598 0.737 0.033
O: 0.795 0.225 0.727
O: 0.810 0.797 0.437
O: 0.824 0.284 0.948
O: 0.857 0.218 0.231
O: 0.868 0.249 0.447
O: 0.870 0.715 0.741

The 10 most intense peaks (5° ≤ 2θ ≤ 70°), most intense first:
d [Å]	Position (°2θ)	Rel. int.
3.415	26.1	100
3.921	22.7	77
4.847	18.3	57
4.381	20.3	36
2.407	37.4	35
5.043	17.6	32
2.247	40.1	32
2.722	32.9	27
2.773	32.3	26
3.107	28.7	26



(4)
Diffraction record for BaZn3C4O12. The powder X-ray diffraction pattern is theoretical, not measured: it uses a cell relaxed with PBE and λ = 1.5418 Å (Cu Kα).

Lattice parameters (Å, degrees): 6.298 6.298 6.298 102.07 102.07 102.07
Fractional coordinates of all 20 atoms:
Ba: 0.000 0.000 0.000
Zn: 0.000 0.543 0.457
Zn: 0.457 0.000 0.543
Zn: 0.543 0.457 0.000
C: 0.046 0.500 0.954
C: 0.500 0.500 0.500
C: 0.500 0.954 0.046
C: 0.954 0.046 0.500
O: 0.012 0.597 0.794
O: 0.089 0.911 0.500
O: 0.206 0.403 0.988
O: 0.367 0.633 0.500
O: 0.403 0.988 0.206
O: 0.500 0.089 0.911
O: 0.500 0.367 0.633
O: 0.597 0.794 0.012
O: 0.633 0.500 0.367
O: 0.794 0.012 0.597
O: 0.911 0.500 0.089
O: 0.988 0.206 0.403

The 10 most intense peaks (5° ≤ 2θ ≤ 70°), most intense first:
d [Å]	Position (°2θ)	Rel. int.
2.970	30.1	100
3.778	23.5	53
1.836	49.7	24
2.448	36.7	23
1.868	48.8	21
2.048	44.2	16
2.991	29.9	15
2.055	44.1	14
4.897	18.1	8
1.574	58.7	8



(5)
Diffraction record for BaRe2C. The powder X-ray diffraction pattern is theoretical, not measured: it uses a cell relaxed with PBE and λ = 1.5418 Å (Cu Kα).

Lattice parameters (Å, degrees): 6.329 6.329 6.329 120.11 120.11 89.81
Fractional coordinates of all 8 atoms:
Ba: 0.375 0.625 0.750
Ba: 0.625 0.375 0.250
Re: 0.000 0.000 0.000
Re: 0.000 0.000 0.500
Re: 0.000 0.500 0.000
Re: 0.500 0.000 0.500
C: 0.125 0.875 0.250
C: 0.875 0.125 0.750

The 10 most intense peaks (5° ≤ 2θ ≤ 70°), most intense first:
d [Å]	Position (°2θ)	Rel. int.
2.697	33.2	100
2.582	34.7	55
1.720	53.2	27
1.582	58.3	24
5.165	17.2	22
3.163	28.2	22
1.348	69.8	15
1.364	68.8	13
1.580	58.4	12
1.725	53.1	9



(6)
Diffraction record for BaCS. The powder X-ray diffraction pattern is theoretical, not measured: it uses a cell relaxed with PBE and λ = 1.5418 Å (Cu Kα).

Lattice parameters (Å, degrees): 4.705 4.705 8.936 96.96 96.96 60.63
Fractional coordinates of all 6 atoms:
Ba: 0.000 0.000 0.000
Ba: 0.602 0.602 0.590
C: 0.833 0.833 0.347
C: 0.931 0.931 0.469
S: 0.312 0.312 0.817
S: 0.690 0.690 0.192

The 10 most intense peaks (5° ≤ 2θ ≤ 70°), most intense first:
d [Å]	Position (°2θ)	Rel. int.
3.616	24.6	100
3.208	27.8	65
2.902	30.8	52
3.818	23.3	46
2.478	36.3	37
4.424	20.1	36
2.335	38.6	30
2.375	37.9	28
2.329	38.7	28
1.909	47.6	27



(7)
Diffraction record for Ba2SrSiC. The powder X-ray diffraction pattern is theoretical, not measured: it uses a cell relaxed with PBE and λ = 1.5418 Å (Cu Kα).

Lattice parameters (Å, degrees): 6.941 6.941 3.835 90.00 90.00 90.00
Fractional coordinates of all 5 atoms:
Ba: 0.000 0.500 0.000
Ba: 0.500 0.000 0.000
Sr: 0.000 0.000 0.500
Si: 0.500 0.500 0.000
C: 0.500 0.500 0.500

The 10 most intense peaks (5° ≤ 2θ ≤ 70°), most intense first:
d [Å]	Position (°2θ)	Rel. int.
3.022	29.6	100
3.470	25.7	99
1.905	47.7	52
2.454	36.6	38
4.908	18.1	25
1.678	54.7	24
2.573	34.9	21
1.552	59.6	18
1.511	61.4	17
3.835	23.2	15



(8)
Diffraction record for BaTbC. The powder X-ray diffraction pattern is theoretical, not measured: it uses a cell relaxed with PBE and λ = 1.5418 Å (Cu Kα).

Lattice parameters (Å, degrees): 3.902 5.173 9.577 90.00 90.00 90.00
Fractional coordinates of all 6 atoms:
Ba: 0.250 0.250 0.188
Ba: 0.750 0.750 0.812
Tb: 0.250 0.250 0.564
Tb: 0.750 0.750 0.436
C: 0.250 0.750 0.589
C: 0.750 0.250 0.411

The 10 most intense peaks (5° ≤ 2θ ≤ 70°), most intense first:
d [Å]	Position (°2θ)	Rel. int.
3.115	28.7	100
9.577	9.2	96
3.514	25.3	67
3.025	29.5	56
2.586	34.7	35
2.230	40.5	33
1.966	46.2	32
2.717	33.0	32
2.471	36.4	30
1.787	51.1	22



(9)
Diffraction record for BaTh2C. The powder X-ray diffraction pattern is theoretical, not measured: it uses a cell relaxed with PBE and λ = 1.5418 Å (Cu Kα).

Lattice parameters (Å, degrees): 10.511 10.511 10.511 20.32 20.32 20.32
Fractional coordinates of all 4 atoms:
Ba: 0.000 0.000 0.000
Th: 0.120 0.120 0.120
Th: 0.880 0.880 0.880
C: 0.500 0.500 0.500

The 10 most intense peaks (5° ≤ 2θ ≤ 70°), most intense first:
d [Å]	Position (°2θ)	Rel. int.
3.193	27.9	100
2.468	36.4	84
10.291	8.6	62
3.430	26.0	52
2.596	34.6	39
1.631	56.4	38
1.854	49.2	38
2.964	30.1	37
1.654	55.6	22
2.849	31.4	21



(10)
Diffraction record for BaUC. The powder X-ray diffraction pattern is theoretical, not measured: it uses a cell relaxed with PBE and λ = 1.5418 Å (Cu Kα).

Lattice parameters (Å, degrees): 9.590 5.967 6.095 90.00 90.00 90.00
Fractional coordinates of all 12 atoms:
Ba: 0.178 0.025 0.250
Ba: 0.178 0.475 0.750
Ba: 0.822 0.525 0.250
Ba: 0.822 0.975 0.750
U: 0.417 0.542 0.250
U: 0.417 0.958 0.750
U: 0.583 0.042 0.250
U: 0.583 0.458 0.750
C: 0.444 0.250 0.000
C: 0.444 0.250 0.500
C: 0.556 0.750 0.000
C: 0.556 0.750 0.500

The 10 most intense peaks (5° ≤ 2θ ≤ 70°), most intense first:
d [Å]	Position (°2θ)	Rel. int.
3.187	28.0	100
9.590	9.2	76
2.558	35.1	38
3.047	29.3	30
2.983	30.0	23
2.132	42.4	20
1.785	51.2	19
1.759	52.0	11
1.648	55.8	10
2.680	33.4	8



(11)
Diffraction record for BaCa7. The powder X-ray diffraction pattern is theoretical, not measured: it uses a cell relaxed with PBE and λ = 1.5418 Å (Cu Kα).

Lattice parameters (Å, degrees): 9.860 9.860 3.912 101.26 101.26 77.68
Fractional coordinates of all 8 atoms:
Ba: 0.000 0.000 0.000
Ca: 0.139 0.599 0.368
Ca: 0.248 0.248 0.746
Ca: 0.401 0.861 0.632
Ca: 0.500 0.500 0.000
Ca: 0.599 0.139 0.368
Ca: 0.752 0.752 0.254
Ca: 0.861 0.401 0.632

The 10 most intense peaks (5° ≤ 2θ ≤ 70°), most intense first:
d [Å]	Position (°2θ)	Rel. int.
3.186	28.0	100
3.227	27.6	94
3.092	28.9	43
3.334	26.7	37
9.508	9.3	35
2.179	41.4	32
3.077	29.0	25
3.065	29.1	24
2.651	33.8	21
3.973	22.4	17



(12)
Diffraction record for Ba5Ca. The powder X-ray diffraction pattern is theoretical, not measured: it uses a cell relaxed with PBE and λ = 1.5418 Å (Cu Kα).

Lattice parameters (Å, degrees): 8.223 8.223 9.770 107.13 107.13 34.59
Fractional coordinates of all 6 atoms:
Ba: 0.000 0.000 0.000
Ba: 0.003 0.003 0.481
Ba: 0.341 0.341 0.661
Ba: 0.677 0.677 0.838
Ba: 0.682 0.682 0.321
Ca: 0.340 0.340 0.159

The 10 most intense peaks (5° ≤ 2θ ≤ 70°), most intense first:
d [Å]	Position (°2θ)	Rel. int.
3.488	25.5	100
3.456	25.8	49
2.001	45.3	41
2.020	44.9	21
2.444	36.8	19
1.546	59.8	11
1.745	52.4	10
2.490	36.1	10
1.572	58.7	7
1.549	59.7	7



(13)
Diffraction record for Ba3Ca. The powder X-ray diffraction pattern is theoretical, not measured: it uses a cell relaxed with PBE and λ = 1.5418 Å (Cu Kα).

Lattice parameters (Å, degrees): 4.329 7.086 7.475 90.00 90.00 90.00
Fractional coordinates of all 4 atoms:
Ba: 0.000 0.000 0.000
Ba: 0.000 0.500 0.338
Ba: 0.500 0.500 0.830
Ca: 0.500 0.000 0.499

The 10 most intense peaks (5° ≤ 2θ ≤ 70°), most intense first:
d [Å]	Position (°2θ)	Rel. int.
3.310	26.9	100
3.543	25.1	26
3.743	23.8	25
1.997	45.4	25
1.845	49.4	24
2.573	34.9	19
2.159	41.8	13
1.811	50.4	12
1.386	67.6	10
1.370	68.5	9